Structure and computed powder diffractogram of In12SnHg7 (a GGA-PBE-relaxed structure; Cu Kα).

Structure:
Unit cell a=14.3804 b=14.3804 c=9.5454 alpha=90.00 beta=90.00 gamma=120.00
Space group R-3 (No. 148, hexagonal axes)
Symmetry-distinct sites (fractional):
In: 0.0133 0.6311 0.2570 [18 per cell]
In: 0.1020 0.2078 0.8517 [18 per cell]
Sn: 0.0000 0.0000 0.5000 [3 per cell]
Hg: 0.0000 0.0000 0.0000 [3 per cell]
Hg: 0.0846 0.8771 0.3399 [18 per cell]

Most intense lines, 2θ from 10° to 80°, low angle first:
- 23.49°, intensity 32
- 27.46°, intensity 20
- 31.98°, intensity 100
- 37.53°, intensity 51
- 40.48°, intensity 14
- 44.75°, intensity 18
- 46.24°, intensity 18
- 64.26°, intensity 12